This entry pairs a crystal structure of SrLiAl2B2O7 with its simulated XRD peak list. Radiation: Cu Kα X-rays. Structure: a DFT-relaxed cell (GGA-PBE, the Materials Project).
No peak broadening, texture or thermal motion is included.

Atomic structure:
abc: 4.999 5.000 8.634
angles: 106.77 90.04 119.99
Sites, in units of the cell vectors:
Sr  0.000  0.000  0.000
Li  0.342  0.684  0.026
Al  0.442  0.886  0.329
Al  0.580  0.162  0.742
B  0.256  0.513  0.769
B  0.740  0.481  0.222
O  0.050  0.699  0.214
O  0.356  0.331  0.839
O  0.508  0.865  0.839
O  0.510  0.022  0.533
O  0.516  0.567  0.214
O  0.648  0.165  0.215
O  0.974  0.483  0.839

Largest 10 diffraction maxima, sorted by position, 10 to 90 degrees two-theta:
- hkl 0 0 1, 10.9 deg, I = 100
- hkl 0 1 0, 21.8 deg, I = 51
- hkl 1 0 1, 25.2 deg, I = 57
- hkl 0 1 1, 27.5 deg, I = 28
- hkl 1 0 2, 33.0 deg, I = 45
- hkl 2 -1 0, 35.9 deg, I = 45
- hkl 2 0 0, 42.4 deg, I = 43
- hkl 2 -1 3, 49.6 deg, I = 27
- hkl 2 1 -2, 56.8 deg, I = 13
- hkl 3 0 -1, 64.6 deg, I = 13